Entry 1:
Calculated X-ray diffraction stick pattern of Pr2CuPd3 for Cu Kα (weighted mean of Kα1 and Kα2), from a GGA-PBE-relaxed structure.

Largest 10 diffraction maxima, by angle, 10° ≤ 2θ ≤ 80°:
| 2θ (°) | I (rel.) |
| --- | --- |
| 33.02 | 100 |
| 33.15 | 51 |
| 40.03 | 29 |
| 40.36 | 57 |
| 48.09 | 17 |
| 52.92 | 26 |
| 53.27 | 12 |
| 64.30 | 14 |
| 64.53 | 28 |
| 68.89 | 12 |

Crystal structure
a = 7.5688 Å, b = 9.0093 Å, c = 15.4449 Å
α = 90.00°, β = 90.00°, γ = 90.00°
Space group Fmmm (No. 69)
Symmetry-distinct sites (fractional):
Pr (0.2483, 0.0000, 0.0000) x8
Pr (0.2500, 0.2500, 0.2500) x8
Cu (0.0000, 0.0000, 0.3333) x8
Pd (0.0000, 0.0000, 0.1713) x8
Pd (0.0000, 0.2413, 0.4134) x16

***

Entry 2:
Calculated X-ray diffraction stick pattern of Pr4Cu2Pd5 for Cu Kα (weighted mean of Kα1 and Kα2), from a GGA-PBE-relaxed structure.

Largest 10 diffraction maxima, by angle, 10° ≤ 2θ ≤ 80°:
| 2θ (°) | I (rel.) |
| --- | --- |
| 33.30 | 45 |
| 33.43 | 100 |
| 42.82 | 14 |
| 42.94 | 14 |
| 43.19 | 18 |
| 45.76 | 20 |
| 64.50 | 16 |
| 64.74 | 10 |
| 72.32 | 9 |
| 72.46 | 9 |

Crystal structure
a = 7.2821 Å, b = 3.9659 Å, c = 8.4256 Å
α = 90.00°, β = 90.54°, γ = 90.00°
Space group P2/m (No. 10)
Symmetry-distinct sites (fractional):
Pr (0.2341, 0.0000, 0.3749) x2
Pr (0.2614, 0.0000, 0.8785) x2
Cu (0.0816, 0.5000, 0.1249) x2
Pd (0.1321, 0.5000, 0.6302) x2
Pd (0.4363, 0.5000, 0.1604) x2
Pd (0.5000, 0.5000, 0.5000) x1

***

Entry 3:
Calculated X-ray diffraction stick pattern of Pr2Cu3Pd for Cu Kα (weighted mean of Kα1 and Kα2), from a GGA-PBE-relaxed structure.

Largest 10 diffraction maxima, by angle, 10° ≤ 2θ ≤ 80°:
| 2θ (°) | I (rel.) |
| --- | --- |
| 33.40 | 100 |
| 41.44 | 34 |
| 41.67 | 17 |
| 47.60 | 11 |
| 54.13 | 8 |
| 54.38 | 16 |
| 64.92 | 17 |
| 65.08 | 8 |
| 70.56 | 7 |
| 79.43 | 8 |

Crystal structure
a = 7.6419 Å, b = 8.6700 Å, c = 15.1211 Å
α = 90.00°, β = 90.00°, γ = 90.00°
Space group Fmmm (No. 69)
Symmetry-distinct sites (fractional):
Pr (0.2487, 0.0000, 0.0000) x8
Pr (0.2500, 0.2500, 0.2500) x8
Cu (0.0000, 0.0000, 0.3373) x8
Cu (0.0000, 0.2444, 0.4189) x16
Pd (0.0000, 0.0000, 0.1674) x8

***

Entry 4:
Calculated X-ray diffraction stick pattern of Pr3Cu2Pd5 for Cu Kα (weighted mean of Kα1 and Kα2), from a GGA-PBE-relaxed structure.

Largest 10 diffraction maxima, by angle, 10° ≤ 2θ ≤ 80°:
| 2θ (°) | I (rel.) |
| --- | --- |
| 29.98 | 33 |
| 33.88 | 32 |
| 36.27 | 100 |
| 37.23 | 46 |
| 39.62 | 37 |
| 40.52 | 23 |
| 45.20 | 28 |
| 59.95 | 23 |
| 62.30 | 13 |
| 64.24 | 13 |

Crystal structure
a = 9.9566 Å, b = 9.9566 Å, c = 4.0119 Å
α = 90.00°, β = 90.00°, γ = 90.00°
Space group P4/mbm (No. 127)
Symmetry-distinct sites (fractional):
Pr (0.0000, 0.0000, 0.0000) x2
Pr (0.1752, 0.3248, 0.0000) x4
Cu (0.1171, 0.6171, 0.0000) x4
Pd (0.0000, 0.5000, 0.5000) x2
Pd (0.0699, 0.7809, 0.5000) x8